For BaCd2Ag6, a DFT-relaxed cell (PBE, Alexandria) gives the theoretical PXRD pattern in this record (Cu Kα).
Lines closer than 0.1° are merged.

Top 10 peaks for 10° ≤ 2θ ≤ 90°, in order of rising 2θ:
d [Å], Rel. int.
3.815, 35
3.653, 13
3.163, 41
2.435, 13
2.237, 100
1.826, 11
1.582, 16
1.415, 13
1.291, 32
1.118, 10

a b c (Å): 12.654 12.654 12.654
angles (deg): 90.00 90.00 90.00
Space group Fd-3m (No. 227, origin choice 2)
Symmetry-distinct sites (fractional):
Ba (0.125, 0.125, 0.125) (multiplicity 8)
Cd (0.000, 0.000, 0.500) (multiplicity 16)
Ag (0.123, 0.375, 0.875) (multiplicity 48)


For Ba3Cd2Ag2Hg4, a DFT-relaxed cell (PBE, Alexandria) gives the theoretical PXRD pattern in this record (Cu Kα).
Lines closer than 0.1° are merged.

Top 10 peaks for 10° ≤ 2θ ≤ 90°, in order of rising 2θ:
d [Å], Rel. int.
3.915, 17
3.850, 27
3.374, 27
2.931, 82
2.553, 100
2.138, 21
1.925, 24
1.682, 28
1.537, 23
1.474, 21

a b c (Å): 5.1060 5.1060 15.6586
angles (deg): 90.00 90.00 120.00
Space group P-3m1 (No. 164)
Symmetry-distinct sites (fractional):
Ba (0.0000, 0.0000, 0.0000) (multiplicity 1)
Ba (0.0000, 0.0000, 0.2719) (multiplicity 2)
Cd (0.3333, 0.6667, 0.5804) (multiplicity 2)
Ag (0.3333, 0.6667, 0.1361) (multiplicity 2)
Hg (0.3333, 0.6667, 0.3941) (multiplicity 2)
Hg (0.3333, 0.6667, 0.8638) (multiplicity 2)


For Ba2Cd6InAg, a DFT-relaxed cell (PBE, Alexandria) gives the theoretical PXRD pattern in this record (Cu Kα).
Lines closer than 0.1° are merged.

Top 10 peaks for 10° ≤ 2θ ≤ 90°, in order of rising 2θ:
d [Å], Rel. int.
6.205, 64
3.735, 42
3.218, 100
3.193, 71
3.174, 68
3.103, 42
2.428, 83
2.407, 42
2.362, 57
2.355, 67

a b c (Å): 7.423 7.464 7.467
angles (deg): 61.08 60.26 61.46
Space group P-1 (No. 2)
Symmetry-distinct sites (fractional):
Ba (0.188, 0.433, 0.191) (multiplicity 2)
Cd (0.154, 0.884, 0.331) (multiplicity 2)
Cd (0.324, 0.891, 0.628) (multiplicity 2)
Cd (0.375, 0.108, 0.846) (multiplicity 2)
In (0.500, 0.500, 0.500) (multiplicity 1)
Ag (0.000, 0.000, 0.000) (multiplicity 1)


For Ba2CdIn4Ag3, a DFT-relaxed cell (PBE, Alexandria) gives the theoretical PXRD pattern in this record (Cu Kα).
Lines closer than 0.1° are merged.

Top 10 peaks for 10° ≤ 2θ ≤ 90°, in order of rising 2θ:
d [Å], Rel. int.
3.072, 53
2.975, 100
2.429, 66
2.249, 34
2.137, 28
1.906, 26
1.718, 34
1.605, 22
1.488, 31
1.124, 23

a b c (Å): 4.859 4.859 11.897
angles (deg): 90.00 90.00 90.00
Space group P-4m2 (No. 115)
Symmetry-distinct sites (fractional):
Ba (0.000, 0.500, 0.249) (multiplicity 2)
Cd (0.500, 0.500, 0.000) (multiplicity 1)
In (0.000, 0.000, 0.500) (multiplicity 1)
In (0.000, 0.500, 0.867) (multiplicity 2)
In (0.500, 0.500, 0.500) (multiplicity 1)
Ag (0.000, 0.000, 0.000) (multiplicity 1)
Ag (0.000, 0.500, 0.631) (multiplicity 2)


For BaLiCd2Ag2, a DFT-relaxed cell (PBE, Alexandria) gives the theoretical PXRD pattern in this record (Cu Kα).
Lines closer than 0.1° are merged.

Top 10 peaks for 10° ≤ 2θ ≤ 90°, in order of rising 2θ:
d [Å], Rel. int.
3.696, 78
2.831, 79
2.543, 31
2.439, 100
2.036, 15
1.848, 22
1.760, 59
1.473, 21
1.408, 17
1.232, 18

a b c (Å): 4.8780 4.8780 7.6279
angles (deg): 90.00 90.00 120.00
Space group P-3m1 (No. 164)
Symmetry-distinct sites (fractional):
Ba (0.0000, 0.0000, 0.0000) (multiplicity 1)
Li (0.0000, 0.0000, 0.5000) (multiplicity 1)
Cd (0.3333, 0.6667, 0.3223) (multiplicity 2)
Ag (0.3333, 0.6667, 0.7000) (multiplicity 2)


For Ba3MgCd2Ag6, a DFT-relaxed cell (PBE, Alexandria) gives the theoretical PXRD pattern in this record (Cu Kα).
Lines closer than 0.1° are merged.

Top 10 peaks for 10° ≤ 2θ ≤ 90°, in order of rising 2θ:
d [Å], Rel. int.
3.352, 38
3.051, 50
2.903, 21
2.767, 100
2.704, 59
2.451, 75
2.103, 23
1.783, 21
1.676, 34
1.469, 26

a b c (Å): 6.7049 6.7049 9.1516
angles (deg): 90.00 90.00 120.00
Space group P-3m1 (No. 164)
Symmetry-distinct sites (fractional):
Ba (0.0000, 0.0000, 0.0000) (multiplicity 1)
Ba (0.3333, 0.6667, 0.6346) (multiplicity 2)
Mg (0.0000, 0.0000, 0.5000) (multiplicity 1)
Cd (0.3333, 0.6667, 0.0338) (multiplicity 2)
Ag (0.1871, 0.3741, 0.2959) (multiplicity 6)


For BaMgCd2Ag, a DFT-relaxed cell (PBE, Alexandria) gives the theoretical PXRD pattern in this record (Cu Kα).
Lines closer than 0.1° are merged.

Top 10 peaks for 10° ≤ 2θ ≤ 90°, in order of rising 2θ:
d [Å], Rel. int.
3.302, 34
3.186, 41
3.156, 49
2.942, 100
2.359, 35
2.312, 60
2.271, 35
2.261, 28
1.651, 23
1.620, 32

a b c (Å): 4.624 4.717 12.958
angles (deg): 90.00 90.00 90.00
Space group Imm2 (No. 44)
Symmetry-distinct sites (fractional):
Ba (0.000, 0.000, 0.000) (multiplicity 2)
Mg (0.000, 0.500, 0.758) (multiplicity 2)
Cd (0.000, 0.000, 0.615) (multiplicity 2)
Cd (0.000, 0.500, 0.259) (multiplicity 2)
Ag (0.000, 0.000, 0.390) (multiplicity 2)


For Ba2CdAg3O6, a DFT-relaxed cell (PBE, Alexandria) gives the theoretical PXRD pattern in this record (Cu Kα).
Lines closer than 0.1° are merged.

Top 10 peaks for 10° ≤ 2θ ≤ 90°, in order of rising 2θ:
d [Å], Rel. int.
3.432, 14
2.916, 100
2.481, 26
2.059, 23
1.890, 8
1.682, 21
1.584, 16
1.456, 7
1.302, 12
1.101, 5

a b c (Å): 4.117 4.117 12.421
angles (deg): 90.00 90.00 90.00
Space group P4/mmm (No. 123)
Symmetry-distinct sites (fractional):
Ba (0.000, 0.000, 0.211) (multiplicity 2)
Cd (0.000, 0.000, 0.500) (multiplicity 1)
Ag (0.500, 0.500, 0.000) (multiplicity 1)
Ag (0.500, 0.500, 0.377) (multiplicity 2)
O (0.000, 0.500, 0.376) (multiplicity 4)
O (0.500, 0.500, 0.163) (multiplicity 2)